Starting from a crystal structure in the Materials Project, relaxed with GGA+U, the powder X-ray diffraction pattern of Li3FeNi3O8 was simulated for a wavelength of 1.5418 Å.
Lines closer than 0.1° are merged.

Cell and atoms:
Cell lengths 5.7786, 5.7786, 9.4285 Å; angles 90.00, 90.00, 120.00 degrees
Space group P6_3mc (No. 186)
Asymmetric unit:
Li1 0.1674 0.3349 0.0000 (multiplicity 6)
Fe1 0.3333 0.6667 0.4622 (multiplicity 2)
Ni1 0.1681 0.3361 0.7350 (multiplicity 6)
O1 0.0000 0.0000 0.1359 (multiplicity 2)
O2 0.0299 0.5149 0.5953 (multiplicity 6)
O3 0.1640 0.3280 0.3596 (multiplicity 6)
O4 0.3333 0.6667 0.8420 (multiplicity 2)

Largest 8 diffraction maxima, in order of rising 2θ, 2θ from 10° to 90°:
| d/Å | 2theta | Rel. int. | (hkl) |
| --- | --- | --- | --- |
| 4.714 | 18.82 | 50 | 0 0 2 |
| 4.420 | 20.09 | 100 | 1 0 1 |
| 2.463 | 36.47 | 41 | 1 1 2 |
| 2.418 | 37.18 | 64 | 2 0 1 |
| 2.210 | 40.83 | 38 | 2 0 2 |
| 1.958 | 46.38 | 79 | 2 0 3 |
| 1.506 | 61.58 | 43 | 2 0 5 |
| 1.445 | 64.50 | 43 | 2 2 0 |